Starting from a DFT-relaxed cell (PBE+U, Alexandria), the powder XRD pattern of Mn4O7F was simulated for Cu Ka.
Lines closer than 0.1° are merged.

Structural model:
```
Mn4O7F
1.0
4.4778 -5.4874 0.0000
4.4778 5.4874 0.0000
-0.0628 0.0000 4.9566
Mn O F
8 14 2
Cartesian
4.4464 4.7360 2.4783
2.2671 1.9631 2.6796
4.4532 0.7991 0.1622
2.2985 -1.9631 0.2013
4.4218 -0.7991 2.6405
6.6991 1.7995 2.5876
6.7306 -1.7995 0.1093
4.4778 -4.7360 0.0000
3.2640 3.3643 1.7462
1.0259 0.6255 3.3799
3.2278 2.1466 4.2721
1.0573 -0.6255 0.9016
3.3871 0.6184 1.7949
3.3557 -0.6184 4.2732
5.6469 2.1340 0.9935
5.4458 0.5817 3.5213
3.2593 -2.1466 1.7938
5.4772 -0.5817 1.0430
3.2326 -3.3643 4.2245
5.6154 -2.1340 3.4718
7.9241 0.5470 1.5920
7.8927 -0.5470 4.0703
5.5851 3.4215 3.4822
5.6166 -3.4215 1.0039
```

Peak list (10 most intense, 15 to 90 degrees two-theta, sorted by position)
d_spacing	I (rel.)
3.469	100
2.855	93
2.829	83
2.400	39
1.693	24
1.672	22
1.651	20
1.642	33
1.632	33
1.415	28